# TbY7Hg4
Computed XRD peak list, Cu Kα (λ = 1.5418 Å). Input: DFT lattice parameters and positions (GGA-PBE).
Neutral-atom scattering factors, no anomalous dispersion.

Principal peaks in the range 10 to 80 degrees two-theta, in order of falling intensity:
2.838 Å, 31.5 deg, I = 100.0
2.524 Å, 35.6 deg, I = 85.8
2.711 Å, 33.0 deg, I = 56.2
3.019 Å, 29.6 deg, I = 45.4
2.931 Å, 30.5 deg, I = 37.4
3.661 Å, 24.3 deg, I = 37.1
2.437 Å, 36.9 deg, I = 34.8
2.816 Å, 31.8 deg, I = 34.7
2.068 Å, 43.8 deg, I = 31.0
2.770 Å, 32.3 deg, I = 30.1

Structural model:
```
data_TbY7Hg4
_cell_length_a 7.853
_cell_length_b 7.853
_cell_length_c 9.847
_cell_angle_alpha 120.02
_cell_angle_beta 120.02
_cell_angle_gamma 42.37
_space_group_name_H-M_alt 'P 1'
_space_group_IT_number 1
_space_group_name_Hall 'P 1'
loop_
_atom_site_label
_atom_site_fract_x
_atom_site_fract_y
_atom_site_fract_z
Tb1 0.000 0.000 0.000
Y1 0.066 0.066 0.404
Y2 0.209 0.209 0.884
Y3 0.269 0.269 0.318
Y4 0.500 0.500 0.000
Y5 0.731 0.731 0.682
Y6 0.791 0.791 0.116
Y7 0.934 0.934 0.596
Hg1 0.312 0.312 0.661
Hg2 0.452 0.452 0.270
Hg3 0.548 0.548 0.730
Hg4 0.688 0.688 0.339
```

***

# K3BePCO7
Computed XRD peak list, Cu Kα (λ = 1.5418 Å). Input: DFT lattice parameters and positions (GGA-PBE).
Neutral-atom scattering factors, no anomalous dispersion.

Principal peaks in the range 10 to 80 degrees two-theta, in order of falling intensity:
3.192 Å, 28.0 deg, I = 100.0
3.374 Å, 26.4 deg, I = 50.4
4.374 Å, 20.3 deg, I = 40.4
4.576 Å, 19.4 deg, I = 39.3
2.288 Å, 39.4 deg, I = 23.7
2.767 Å, 32.4 deg, I = 23.2
2.487 Å, 36.1 deg, I = 20.2
2.007 Å, 45.2 deg, I = 19.3
2.307 Å, 39.1 deg, I = 18.8
2.693 Å, 33.3 deg, I = 16.0

Structural model:
```
data_K3BePCO7
_cell_length_a 4.974
_cell_length_b 9.152
_cell_length_c 9.994
_cell_angle_alpha 90.00
_cell_angle_beta 90.07
_cell_angle_gamma 90.00
_space_group_name_H-M_alt 'P 1'
_space_group_IT_number 1
_space_group_name_Hall 'P 1'
loop_
_atom_site_label
_atom_site_fract_x
_atom_site_fract_y
_atom_site_fract_z
K1 0.208 0.250 0.071
K2 0.283 0.029 0.694
K3 0.283 0.471 0.694
K4 0.717 0.529 0.306
K5 0.717 0.971 0.306
K6 0.792 0.750 0.929
Be1 0.233 0.750 0.435
Be2 0.767 0.250 0.565
P1 0.254 0.250 0.398
P2 0.746 0.750 0.602
C1 0.204 0.750 0.171
C2 0.796 0.250 0.829
O1 0.053 0.250 0.825
O2 0.067 0.250 0.526
O3 0.212 0.110 0.317
O4 0.212 0.390 0.317
O5 0.339 0.750 0.063
O6 0.340 0.750 0.289
O7 0.448 0.750 0.546
O8 0.552 0.250 0.454
O9 0.660 0.250 0.711
O10 0.661 0.250 0.937
O11 0.788 0.610 0.683
O12 0.788 0.890 0.683
O13 0.933 0.750 0.474
O14 0.947 0.750 0.175
```

***

# TbRu2O8
Computed XRD peak list, Cu Kα (λ = 1.5418 Å). Input: DFT lattice parameters and positions (GGA-PBE).
Neutral-atom scattering factors, no anomalous dispersion.

Principal peaks in the range 10 to 80 degrees two-theta, in order of falling intensity:
3.367 Å, 26.5 deg, I = 100.0
5.498 Å, 16.1 deg, I = 58.1
1.944 Å, 46.7 deg, I = 39.3
2.185 Å, 41.3 deg, I = 21.6
1.273 Å, 74.6 deg, I = 21.2
1.684 Å, 54.5 deg, I = 19.9
1.506 Å, 61.6 deg, I = 16.2
2.871 Å, 31.1 deg, I = 11.3
1.610 Å, 57.2 deg, I = 9.9
2.381 Å, 37.8 deg, I = 8.5

Structural model:
```
data_TbRu2O8
_cell_length_a 6.734
_cell_length_b 6.734
_cell_length_c 6.734
_cell_angle_alpha 60.00
_cell_angle_beta 60.00
_cell_angle_gamma 60.00
_space_group_name_H-M_alt 'P 1'
_space_group_IT_number 1
_space_group_name_Hall 'P 1'
loop_
_atom_site_label
_atom_site_fract_x
_atom_site_fract_y
_atom_site_fract_z
Tb1 0.000 0.000 0.000
Ru1 0.250 0.250 0.250
Ru2 0.750 0.750 0.750
O1 0.143 0.143 0.143
O2 0.143 0.143 0.571
O3 0.143 0.571 0.143
O4 0.429 0.857 0.857
O5 0.571 0.143 0.143
O6 0.857 0.429 0.857
O7 0.857 0.857 0.429
O8 0.857 0.857 0.857
```

***

# DyBePt3
Computed XRD peak list, Cu Kα (λ = 1.5418 Å). Input: DFT lattice parameters and positions (GGA-PBE).
Neutral-atom scattering factors, no anomalous dispersion.

Principal peaks in the range 10 to 80 degrees two-theta, in order of falling intensity:
2.468 Å, 36.4 deg, I = 100.0
2.053 Å, 44.1 deg, I = 60.2
2.384 Å, 37.7 deg, I = 48.7
2.673 Å, 33.5 deg, I = 47.8
2.425 Å, 37.1 deg, I = 47.6
1.502 Å, 61.8 deg, I = 25.5
1.229 Å, 77.7 deg, I = 22.9
1.641 Å, 56.0 deg, I = 14.4
1.433 Å, 65.1 deg, I = 10.5
1.234 Å, 77.3 deg, I = 10.3

Structural model:
```
data_DyBePt3
_cell_length_a 5.385
_cell_length_b 5.733
_cell_length_c 5.935
_cell_angle_alpha 90.00
_cell_angle_beta 115.75
_cell_angle_gamma 90.00
_space_group_name_H-M_alt 'P 1'
_space_group_IT_number 1
_space_group_name_Hall 'P 1'
loop_
_atom_site_label
_atom_site_fract_x
_atom_site_fract_y
_atom_site_fract_z
Dy1 0.020 0.250 0.295
Dy2 0.980 0.750 0.705
Be1 0.342 0.750 0.453
Be2 0.658 0.250 0.547
Pt1 0.090 0.250 0.825
Pt2 0.482 0.506 0.228
Pt3 0.482 0.994 0.228
Pt4 0.518 0.006 0.772
Pt5 0.518 0.494 0.772
Pt6 0.910 0.750 0.175
```

***

# Na3Si4Ag2
Computed XRD peak list, Cu Kα (λ = 1.5418 Å). Input: DFT lattice parameters and positions (GGA-PBE).
Neutral-atom scattering factors, no anomalous dispersion.

Principal peaks in the range 10 to 80 degrees two-theta, in order of falling intensity:
2.218 Å, 40.7 deg, I = 100.0
2.487 Å, 36.1 deg, I = 95.7
2.735 Å, 32.7 deg, I = 79.1
4.036 Å, 22.0 deg, I = 63.5
2.242 Å, 40.2 deg, I = 60.2
3.674 Å, 24.2 deg, I = 52.5
2.563 Å, 35.0 deg, I = 43.7
4.637 Å, 19.1 deg, I = 39.7
5.073 Å, 17.5 deg, I = 38.3
3.311 Å, 26.9 deg, I = 34.7

Structural model:
```
data_Na3Si4Ag2
_cell_length_a 5.645
_cell_length_b 5.645
_cell_length_c 8.210
_cell_angle_alpha 114.16
_cell_angle_beta 114.16
_cell_angle_gamma 46.80
_space_group_name_H-M_alt 'P 1'
_space_group_IT_number 1
_space_group_name_Hall 'P 1'
loop_
_atom_site_label
_atom_site_fract_x
_atom_site_fract_y
_atom_site_fract_z
Na1 0.000 0.000 0.000
Na2 0.308 0.308 0.363
Na3 0.692 0.692 0.637
Si1 0.002 0.002 0.649
Si2 0.250 0.250 0.916
Si3 0.750 0.750 0.084
Si4 0.998 0.998 0.351
Ag1 0.429 0.429 0.756
Ag2 0.571 0.571 0.244
```

***

# Na2PaMoN4
Computed XRD peak list, Cu Kα (λ = 1.5418 Å). Input: DFT lattice parameters and positions (GGA-PBE).
Neutral-atom scattering factors, no anomalous dispersion.

Principal peaks in the range 10 to 80 degrees two-theta, in order of falling intensity:
4.718 Å, 18.8 deg, I = 100.0
2.985 Å, 29.9 deg, I = 86.7
2.724 Å, 32.9 deg, I = 45.9
1.926 Å, 47.2 deg, I = 31.8
1.785 Å, 51.2 deg, I = 28.7
1.618 Å, 56.9 deg, I = 27.5
2.358 Å, 38.2 deg, I = 27.3
1.493 Å, 62.2 deg, I = 17.2
2.362 Å, 38.1 deg, I = 14.1
1.458 Å, 63.8 deg, I = 9.7

Structural model:
```
data_Na2PaMoN4
_cell_length_a 5.444
_cell_length_b 5.444
_cell_length_c 9.455
_cell_angle_alpha 90.00
_cell_angle_beta 90.00
_cell_angle_gamma 90.00
_space_group_name_H-M_alt 'P 1'
_space_group_IT_number 1
_space_group_name_Hall 'P 1'
loop_
_atom_site_label
_atom_site_fract_x
_atom_site_fract_y
_atom_site_fract_z
Na1 0.000 0.000 0.000
Na2 0.000 0.500 0.250
Na3 0.500 0.000 0.750
Na4 0.500 0.500 0.500
Pa1 0.000 0.000 0.500
Pa2 0.500 0.500 0.000
Mo1 0.000 0.500 0.750
Mo2 0.500 0.000 0.250
N1 0.175 0.274 0.636
N2 0.226 0.675 0.864
N3 0.274 0.825 0.364
N4 0.325 0.226 0.136
N5 0.675 0.774 0.136
N6 0.726 0.175 0.364
N7 0.774 0.325 0.864
N8 0.825 0.726 0.636
```

***

# DyScCd
Computed XRD peak list, Cu Kα (λ = 1.5418 Å). Input: DFT lattice parameters and positions (GGA-PBE).
Neutral-atom scattering factors, no anomalous dispersion.

Principal peaks in the range 10 to 80 degrees two-theta, in order of falling intensity:
2.688 Å, 33.3 deg, I = 100.0
2.446 Å, 36.7 deg, I = 38.8
1.455 Å, 64.0 deg, I = 29.0
1.609 Å, 57.3 deg, I = 19.6
3.340 Å, 26.7 deg, I = 19.4
6.407 Å, 13.8 deg, I = 15.7
1.730 Å, 52.9 deg, I = 13.2
2.136 Å, 42.3 deg, I = 12.2
1.344 Å, 70.0 deg, I = 10.6
1.317 Å, 71.7 deg, I = 9.2

Structural model:
```
data_DyScCd
_cell_length_a 3.459
_cell_length_b 3.459
_cell_length_c 12.813
_cell_angle_alpha 90.00
_cell_angle_beta 90.00
_cell_angle_gamma 90.00
_space_group_name_H-M_alt 'P 1'
_space_group_IT_number 1
_space_group_name_Hall 'P 1'
loop_
_atom_site_label
_atom_site_fract_x
_atom_site_fract_y
_atom_site_fract_z
Dy1 0.000 0.000 0.000
Dy2 0.500 0.500 0.500
Sc1 0.000 0.000 0.318
Sc2 0.500 0.500 0.818
Cd1 0.000 0.000 0.672
Cd2 0.500 0.500 0.172
```

***

# Co2Ge3Se3
Computed XRD peak list, Cu Kα (λ = 1.5418 Å). Input: DFT lattice parameters and positions (GGA-PBE).
Neutral-atom scattering factors, no anomalous dispersion.

Principal peaks in the range 10 to 80 degrees two-theta, in order of falling intensity:
2.642 Å, 33.9 deg, I = 100.0
1.868 Å, 48.7 deg, I = 35.9
2.233 Å, 40.4 deg, I = 34.2
1.638 Å, 56.1 deg, I = 25.0
1.705 Å, 53.8 deg, I = 22.3
1.433 Å, 65.1 deg, I = 18.4
1.232 Å, 77.5 deg, I = 14.4
4.177 Å, 21.3 deg, I = 12.4
3.410 Å, 26.1 deg, I = 11.5
5.907 Å, 15.0 deg, I = 8.8

Structural model:
```
data_Co2Ge3Se3
_cell_length_a 8.354
_cell_length_b 8.354
_cell_length_c 8.354
_cell_angle_alpha 89.95
_cell_angle_beta 89.95
_cell_angle_gamma 89.95
_space_group_name_H-M_alt 'P 1'
_space_group_IT_number 1
_space_group_name_Hall 'P 1'
loop_
_atom_site_label
_atom_site_fract_x
_atom_site_fract_y
_atom_site_fract_z
Co1 0.247 0.748 0.748
Co2 0.249 0.249 0.249
Co3 0.252 0.252 0.753
Co4 0.252 0.753 0.252
Co5 0.748 0.247 0.748
Co6 0.748 0.748 0.247
Co7 0.751 0.751 0.751
Co8 0.753 0.252 0.252
Ge1 0.000 0.158 0.672
Ge2 0.000 0.842 0.328
Ge3 0.158 0.672 0.000
Ge4 0.173 0.502 0.342
Ge5 0.328 0.000 0.842
Ge6 0.342 0.173 0.502
Ge7 0.498 0.658 0.827
Ge8 0.502 0.342 0.173
Ge9 0.658 0.827 0.498
Ge10 0.672 0.000 0.158
Ge11 0.827 0.498 0.658
Ge12 0.842 0.328 0.000
Se1 0.004 0.148 0.346
Se2 0.148 0.346 0.004
Se3 0.155 0.500 0.648
Se4 0.346 0.004 0.148
Se5 0.352 0.845 0.500
Se6 0.500 0.352 0.845
Se7 0.500 0.648 0.155
Se8 0.648 0.155 0.500
Se9 0.654 0.996 0.852
Se10 0.845 0.500 0.352
Se11 0.852 0.654 0.996
Se12 0.996 0.852 0.654
```

***

# MgTa2B6
Computed XRD peak list, Cu Kα (λ = 1.5418 Å). Input: DFT lattice parameters and positions (GGA-PBE).
Neutral-atom scattering factors, no anomalous dispersion.

Principal peaks in the range 10 to 80 degrees two-theta, in order of falling intensity:
2.089 Å, 43.3 deg, I = 100.0
2.667 Å, 33.6 deg, I = 78.6
4.620 Å, 19.2 deg, I = 55.7
3.358 Å, 26.5 deg, I = 40.3
2.716 Å, 33.0 deg, I = 30.0
1.421 Å, 65.7 deg, I = 23.6
1.540 Å, 60.1 deg, I = 20.8
1.400 Å, 66.8 deg, I = 20.1
1.239 Å, 76.9 deg, I = 18.4
1.549 Å, 59.7 deg, I = 11.3

Structural model:
```
data_MgTa2B6
_cell_length_a 5.334
_cell_length_b 5.334
_cell_length_c 3.358
_cell_angle_alpha 90.00
_cell_angle_beta 90.00
_cell_angle_gamma 120.00
_space_group_name_H-M_alt 'P 1'
_space_group_IT_number 1
_space_group_name_Hall 'P 1'
loop_
_atom_site_label
_atom_site_fract_x
_atom_site_fract_y
_atom_site_fract_z
Mg1 0.000 0.000 0.000
Ta1 0.333 0.667 0.000
Ta2 0.667 0.333 0.000
B1 0.000 0.332 0.500
B2 0.000 0.668 0.500
B3 0.332 0.000 0.500
B4 0.332 0.332 0.500
B5 0.668 0.000 0.500
B6 0.668 0.668 0.500
```

***

# Rb2SrCdAs2
Computed XRD peak list, Cu Kα (λ = 1.5418 Å). Input: DFT lattice parameters and positions (GGA-PBE).
Neutral-atom scattering factors, no anomalous dispersion.

Principal peaks in the range 10 to 80 degrees two-theta, in order of falling intensity:
3.161 Å, 28.2 deg, I = 100.0
2.571 Å, 34.9 deg, I = 96.0
8.017 Å, 11.0 deg, I = 64.7
3.328 Å, 26.8 deg, I = 51.1
2.702 Å, 33.2 deg, I = 49.9
2.684 Å, 33.4 deg, I = 46.7
3.295 Å, 27.1 deg, I = 45.6
2.002 Å, 45.3 deg, I = 27.7
1.829 Å, 49.9 deg, I = 19.0
1.988 Å, 45.6 deg, I = 17.4

Structural model:
```
data_Rb2SrCdAs2
_cell_length_a 9.524
_cell_length_b 9.524
_cell_length_c 9.524
_cell_angle_alpha 135.39
_cell_angle_beta 65.36
_cell_angle_gamma 134.83
_space_group_name_H-M_alt 'P 1'
_space_group_IT_number 1
_space_group_name_Hall 'P 1'
loop_
_atom_site_label
_atom_site_fract_x
_atom_site_fract_y
_atom_site_fract_z
Rb1 0.182 0.210 0.392
Rb2 0.318 0.710 0.028
Rb3 0.682 0.290 0.972
Rb4 0.818 0.790 0.608
Sr1 0.250 0.750 0.500
Sr2 0.750 0.250 0.500
Cd1 0.250 0.250 0.000
Cd2 0.750 0.750 0.000
As1 0.094 0.774 0.868
As2 0.406 0.274 0.680
As3 0.594 0.726 0.320
As4 0.906 0.226 0.132
```

***

# Pm8SiN4
Computed XRD peak list, Cu Kα (λ = 1.5418 Å). Input: DFT lattice parameters and positions (GGA-PBE).
Neutral-atom scattering factors, no anomalous dispersion.

Principal peaks in the range 10 to 80 degrees two-theta, in order of falling intensity:
3.098 Å, 28.8 deg, I = 100.0
2.683 Å, 33.4 deg, I = 56.8
1.897 Å, 48.0 deg, I = 38.3
1.618 Å, 56.9 deg, I = 31.5
2.065 Å, 43.8 deg, I = 22.2
6.196 Å, 14.3 deg, I = 17.0
1.503 Å, 61.7 deg, I = 12.3
1.397 Å, 67.0 deg, I = 10.7
2.462 Å, 36.5 deg, I = 10.4
1.549 Å, 59.7 deg, I = 10.0

Structural model:
```
data_Pm8SiN4
_cell_length_a 7.588
_cell_length_b 7.588
_cell_length_c 7.588
_cell_angle_alpha 60.00
_cell_angle_beta 60.00
_cell_angle_gamma 60.00
_space_group_name_H-M_alt 'P 1'
_space_group_IT_number 1
_space_group_name_Hall 'P 1'
loop_
_atom_site_label
_atom_site_fract_x
_atom_site_fract_y
_atom_site_fract_z
Pm1 0.085 0.638 0.638
Pm2 0.106 0.106 0.106
Pm3 0.106 0.106 0.681
Pm4 0.106 0.681 0.106
Pm5 0.638 0.085 0.638
Pm6 0.638 0.638 0.085
Pm7 0.638 0.638 0.638
Pm8 0.681 0.106 0.106
Si1 0.250 0.250 0.250
N1 0.386 0.871 0.871
N2 0.871 0.386 0.871
N3 0.871 0.871 0.386
N4 0.871 0.871 0.871
```

***

# Ag4Sn2Se5
Computed XRD peak list, Cu Kα (λ = 1.5418 Å). Input: DFT lattice parameters and positions (GGA-PBE).
Neutral-atom scattering factors, no anomalous dispersion.

Principal peaks in the range 10 to 80 degrees two-theta, in order of falling intensity:
2.960 Å, 30.2 deg, I = 100.0
2.119 Å, 42.7 deg, I = 80.7
2.068 Å, 43.8 deg, I = 59.7
3.663 Å, 24.3 deg, I = 27.9
3.547 Å, 25.1 deg, I = 27.0
1.213 Å, 78.9 deg, I = 21.1
1.480 Å, 62.8 deg, I = 20.3
1.723 Å, 53.2 deg, I = 19.9
1.337 Å, 70.4 deg, I = 17.0
1.742 Å, 52.5 deg, I = 16.7

Structural model:
```
data_Ag4Sn2Se5
_cell_length_a 18.521
_cell_length_b 18.521
_cell_length_c 18.521
_cell_angle_alpha 13.14
_cell_angle_beta 13.14
_cell_angle_gamma 13.14
_space_group_name_H-M_alt 'P 1'
_space_group_IT_number 1
_space_group_name_Hall 'P 1'
loop_
_atom_site_label
_atom_site_fract_x
_atom_site_fract_y
_atom_site_fract_z
Ag1 0.086 0.086 0.086
Ag2 0.185 0.185 0.185
Ag3 0.815 0.815 0.815
Ag4 0.914 0.914 0.914
Sn1 0.366 0.366 0.366
Sn2 0.634 0.634 0.634
Se1 0.000 0.000 0.000
Se2 0.133 0.133 0.133
Se3 0.270 0.270 0.270
Se4 0.730 0.730 0.730
Se5 0.867 0.867 0.867
```

***

# CdIn6Bi4
Computed XRD peak list, Cu Kα (λ = 1.5418 Å). Input: DFT lattice parameters and positions (GGA-PBE).
Neutral-atom scattering factors, no anomalous dispersion.

Principal peaks in the range 10 to 80 degrees two-theta, in order of falling intensity:
2.758 Å, 32.5 deg, I = 100.0
2.950 Å, 30.3 deg, I = 80.7
2.845 Å, 31.4 deg, I = 72.6
2.294 Å, 39.3 deg, I = 39.2
2.531 Å, 35.5 deg, I = 30.4
2.538 Å, 35.4 deg, I = 30.4
1.726 Å, 53.1 deg, I = 28.9
2.741 Å, 32.7 deg, I = 28.4
1.476 Å, 63.0 deg, I = 24.3
2.707 Å, 33.1 deg, I = 21.5

Structural model:
```
data_CdIn6Bi4
_cell_length_a 3.452
_cell_length_b 8.913
_cell_length_c 11.528
_cell_angle_alpha 111.60
_cell_angle_beta 98.58
_cell_angle_gamma 90.23
_space_group_name_H-M_alt 'P 1'
_space_group_IT_number 1
_space_group_name_Hall 'P 1'
loop_
_atom_site_label
_atom_site_fract_x
_atom_site_fract_y
_atom_site_fract_z
Cd1 0.000 0.000 0.000
In1 0.195 0.533 0.402
In2 0.455 0.625 0.913
In3 0.621 0.173 0.251
In4 0.734 0.875 0.469
In5 0.823 0.578 0.654
In6 0.894 0.274 0.789
Bi1 0.053 0.403 0.103
Bi2 0.090 0.792 0.180
Bi3 0.255 0.222 0.517
Bi4 0.376 0.934 0.752
```